For NbTe4I6, a GGA-PBE-relaxed structure gives the computed X-ray diffraction stick pattern in this record (Cu Kα (λ = 1.5418 Å)).

Largest 6 diffraction maxima, most intense first, 5° ≤ 2θ ≤ 70°:
| d (Å) | I/Imax |
| --- | --- |
| 10.616 | 100 |
| 7.745 | 86 |
| 5.137 | 73 |
| 2.011 | 72 |
| 3.991 | 70 |
| 7.608 | 64 |

Crystal structure
```
data_NbTe4I6
_cell_length_a 8.325
_cell_length_b 11.527
_cell_length_c 12.348
_cell_angle_alpha 111.46
_cell_angle_beta 107.39
_cell_angle_gamma 98.42
_symmetry_space_group_name_H-M 'P -1'
_symmetry_Int_Tables_number 2
loop_
_symmetry_equiv_pos_as_xyz
'x,y,z'
'-x,-y,-z'
loop_
_atom_site_label
_atom_site_fract_x
_atom_site_fract_y
_atom_site_fract_z
Nb1 0.013 0.146 0.041
Te1 0.025 0.718 0.123
Te2 0.083 0.337 0.301
Te3 0.219 0.023 0.916
Te4 0.285 0.057 0.156
I1 0.169 0.732 0.608
I2 0.203 0.243 0.748
I3 0.229 0.686 0.938
I4 0.293 0.396 0.139
I5 0.341 0.850 0.342
I6 0.362 0.304 0.473
```